The following is a simulated PXRD pattern of Li2CeO3. It was derived from a crystal structure in the Materials Project, relaxed with GGA-PBE, using λ = 1.5418 Å (Cu Kα).

Structural model:
```
data_Li2CeO3
_chemical_formula_sum 'Li4 Ce2 O6'
_symmetry_space_group_name_H-M 'C m m m'
_symmetry_Int_Tables_number 65
_symmetry_space_group_name_Hall '-C 2 2'
_cell_length_a 4.491
_cell_length_b 9.667
_cell_length_c 3.555
_cell_angle_alpha 90.00
_cell_angle_beta 90.00
_cell_angle_gamma 90.00
loop_
_atom_site_label
_atom_site_fract_x
_atom_site_fract_y
_atom_site_fract_z
Li1 0.000 0.157 0.000
Ce1 0.000 0.500 0.500
O1 0.000 0.000 0.500
O2 0.000 0.357 0.000
```

Top 6 peaks for 10 to 90 degrees two-theta, in order of rising 2θ:
(hkl)  two_theta  I/Imax
0 2 0  18.35  83
1 1 0  21.82  100
0 2 1  31.23  61
1 1 1  33.46  41
1 3 1  42.90  36
2 2 1  51.74  28